# CeAlAgS4
Calculated powder XRD pattern, CuKα. Input: a structure optimized by DFT (PBE).
Neutral-atom scattering factors, no anomalous dispersion.

Atomic structure:
```
14
Lattice="-3.635 4.033 5.391 3.635 -4.033 5.391 3.635 4.033 -5.391" Properties=species:S:1:pos:R:3 pbc="T T T"
Ce 0.000 0.000 0.000
Ce 0.000 4.033 0.000
Al -1.818 2.017 2.696
Al 1.818 2.017 2.696
Ag 3.635 2.017 -1.651
Ag 0.000 2.017 7.043
S 1.796 2.017 0.195
S 1.840 -2.017 5.587
S 3.635 0.372 2.663
S 0.000 0.372 2.729
S 3.635 3.662 2.663
S 0.000 3.662 2.729
S 1.796 6.050 -0.195
S 1.840 2.017 5.196
```

Top 12 peaks for 10 to 90 degrees two-theta, low angle first:
| 2theta | I/Imax |
| --- | --- |
| 14.7 | 28 |
| 23.3 | 38 |
| 24.5 | 38 |
| 26.6 | 100 |
| 27.7 | 79 |
| 28.2 | 25 |
| 33.2 | 36 |
| 37.2 | 31 |
| 42.7 | 21 |
| 44.4 | 26 |
| 47.7 | 64 |
| 53.6 | 25 |



# TiCuCl4
Calculated powder XRD pattern, CuKα. Input: a structure optimized by DFT (PBE).
Neutral-atom scattering factors, no anomalous dispersion.

Atomic structure:
```
12
Lattice="5.785 0.000 0.000 0.000 5.785 0.000 0.000 0.000 11.332" Properties=species:S:1:pos:R:3 pbc="T T T"
Ti 0.000 0.000 0.000
Ti 0.000 2.893 5.666
Cu 0.000 0.000 5.666
Cu 2.892 0.000 0.000
Cl 1.273 1.461 6.948
Cl 1.273 4.324 4.384
Cl 1.435 1.270 1.283
Cl 1.435 4.515 10.049
Cl 4.350 1.270 10.049
Cl 4.350 4.515 1.283
Cl 4.512 1.461 4.384
Cl 4.512 4.324 6.948
```

Top 12 peaks for 10 to 90 degrees two-theta, low angle first:
| 2theta | I/Imax |
| --- | --- |
| 15.3 | 51 |
| 15.6 | 88 |
| 17.2 | 71 |
| 22.0 | 31 |
| 26.9 | 100 |
| 34.8 | 23 |
| 38.2 | 15 |
| 44.3 | 35 |
| 44.8 | 68 |
| 47.2 | 18 |
| 52.6 | 21 |
| 81.9 | 17 |



# CeErTm2Th
Calculated powder XRD pattern, CuKα. Input: a structure optimized by DFT (PBE).
Neutral-atom scattering factors, no anomalous dispersion.

Atomic structure:
```
5
Lattice="3.452 0.000 0.000 0.000 5.460 0.000 0.000 0.000 8.679" Properties=species:S:1:pos:R:3 pbc="T T T"
Ce 0.000 0.000 0.000
Er 1.726 0.000 4.340
Tm 0.000 2.730 2.787
Tm 0.000 2.730 5.892
Th 1.726 2.730 0.000
```

Top 12 peaks for 10 to 90 degrees two-theta, low angle first:
| 2theta | I/Imax |
| --- | --- |
| 16.2 | 18 |
| 20.5 | 17 |
| 26.2 | 16 |
| 30.9 | 17 |
| 32.4 | 100 |
| 32.8 | 40 |
| 33.2 | 22 |
| 35.1 | 30 |
| 37.1 | 25 |
| 47.3 | 16 |
| 58.3 | 19 |
| 62.2 | 22 |



# Pm4AgSn8
Calculated powder XRD pattern, CuKα. Input: a structure optimized by DFT (PBE).
Neutral-atom scattering factors, no anomalous dispersion.

Atomic structure:
```
13
Lattice="4.424 0.000 0.000 0.000 4.495 0.000 0.000 0.000 17.808" Properties=species:S:1:pos:R:3 pbc="T T T"
Pm 0.000 0.000 0.000
Pm 0.000 2.247 8.451
Pm 2.212 0.000 14.053
Pm 2.212 2.247 5.025
Ag 0.000 2.247 12.708
Sn 0.000 0.000 5.656
Sn 0.000 0.000 10.975
Sn 0.000 2.247 2.484
Sn 0.000 2.247 15.355
Sn 2.212 0.000 2.568
Sn 2.212 0.000 7.677
Sn 2.212 2.247 10.940
Sn 2.212 2.247 17.301
```

Top 12 peaks for 10 to 90 degrees two-theta, low angle first:
| 2theta | I/Imax |
| --- | --- |
| 30.1 | 13 |
| 32.1 | 100 |
| 34.9 | 9 |
| 35.3 | 5 |
| 36.5 | 7 |
| 40.1 | 18 |
| 40.8 | 18 |
| 51.0 | 5 |
| 51.5 | 5 |
| 58.5 | 12 |
| 67.9 | 12 |
| 68.8 | 11 |



# Sm2PdAu3
Calculated powder XRD pattern, CuKα. Input: a structure optimized by DFT (PBE).
Neutral-atom scattering factors, no anomalous dispersion.

Atomic structure:
```
24
Lattice="7.421 0.000 0.000 0.000 4.031 0.000 0.000 0.000 17.942" Properties=species:S:1:pos:R:3 pbc="T T T"
Sm 0.590 1.008 3.664
Sm 1.356 1.008 7.756
Sm 2.355 3.024 16.728
Sm 3.120 3.024 12.635
Sm 4.301 1.008 5.307
Sm 5.066 1.008 1.215
Sm 6.065 3.024 10.186
Sm 6.831 3.024 14.279
Pd 0.010 1.008 16.780
Pd 3.700 3.024 7.809
Pd 3.721 1.008 10.134
Pd 7.411 3.024 1.162
Au 0.779 1.008 11.793
Au 1.693 1.008 14.511
Au 1.728 3.024 9.915
Au 1.982 1.008 0.944
Au 2.018 3.024 5.540
Au 2.932 3.024 2.822
Au 4.489 1.008 15.121
Au 5.403 1.008 12.402
Au 5.439 3.024 16.998
Au 5.693 1.008 8.027
Au 5.728 3.024 3.431
Au 6.642 3.024 6.150
```

Top 12 peaks for 10 to 90 degrees two-theta, low angle first:
| 2theta | I/Imax |
| --- | --- |
| 32.2 | 84 |
| 32.8 | 50 |
| 33.4 | 59 |
| 35.6 | 34 |
| 36.2 | 100 |
| 40.2 | 39 |
| 41.6 | 36 |
| 41.7 | 47 |
| 45.0 | 59 |
| 61.9 | 22 |
| 63.0 | 28 |
| 73.6 | 22 |